1.
# Ba2ZnBiP
Simulated powder XRD pattern, Cu Kα X-rays. Input: a DFT-relaxed cell (GGA-PBE, Alexandria).

Structural model:
```
Ba2ZnBiP
1.0
7.939 0.000 0.000
0.000 4.705 0.000
-2.986 0.000 9.647
Ba Zn Bi P
4 2 2 2
Cartesian
0.419 1.176 3.786
-1.078 1.176 9.354
6.031 3.529 0.293
4.533 3.529 5.861
3.018 3.529 2.478
1.935 1.176 7.169
0.453 3.529 6.729
4.499 1.176 2.918
0.866 3.529 1.678
4.086 1.176 7.969
```

Most intense lines, 10 to 80 degrees two-theta, by angle:
- d 3.792, rel. 60
- d 3.368, rel. 94
- d 3.345, rel. 100
- d 3.217, rel. 57
- d 2.866, rel. 57
- d 2.824, rel. 64

2.
# Ba2Pa2Bi5
Simulated powder XRD pattern, Cu Kα X-rays. Input: a DFT-relaxed cell (GGA-PBE, Alexandria).

Structural model:
```
Ba2Pa2Bi5
1.0
8.799 -4.280 0.000
8.799 4.280 0.000
0.000 0.000 8.577
Ba Pa Bi
4 4 10
Cartesian
3.590 0.000 0.000
5.209 0.000 4.289
12.388 0.000 4.289
14.007 0.000 0.000
8.799 3.052 5.527
8.799 1.228 1.239
8.799 -1.228 7.339
8.799 -3.052 3.050
0.000 0.000 0.000
6.712 2.971 2.984
6.712 1.309 7.273
10.885 2.971 2.984
10.885 1.309 7.273
8.799 0.000 4.289
6.712 -1.309 1.304
6.712 -2.971 5.593
10.885 -1.309 1.304
10.885 -2.971 5.593
```

Most intense lines, 10 to 80 degrees two-theta, by angle:
- d 8.799, rel. 64
- d 3.210, rel. 57
- d 2.889, rel. 76
- d 2.678, rel. 100
- d 2.593, rel. 46
- d 1.586, rel. 29

3.
# Ba3Bi4Pb2
Simulated powder XRD pattern, Cu Kα X-rays. Input: a DFT-relaxed cell (GGA-PBE, Alexandria).

Structural model:
```
Ba3Bi4Pb2
1.0
6.480 -2.830 0.000
6.480 2.830 0.000
-3.845 0.000 9.802
Ba Bi Pb
3 4 2
Cartesian
0.000 0.000 0.000
3.626 0.000 3.051
5.488 0.000 6.750
-0.374 0.000 3.766
-0.039 0.000 9.278
9.153 0.000 0.524
9.488 0.000 6.035
1.558 0.000 6.401
7.556 0.000 3.400
```

Most intense lines, 10 to 80 degrees two-theta, by angle:
- d 3.431, rel. 37
- d 3.295, rel. 19
- d 3.273, rel. 100
- d 2.830, rel. 58
- d 2.761, rel. 79
- d 2.139, rel. 32